Record 1
Structure and theoretical X-ray diffraction stick pattern of YC (a GGA-PBE-relaxed structure; Cu Kα).

Main lines, low angle first (10° ≤ 2θ ≤ 80°):
- 26.30 deg, I = 64
- 28.90 deg, I = 69
- 32.15 deg, I = 67
- 33.57 deg, I = 100
- 35.04 deg, I = 56
- 40.55 deg, I = 58
- 43.40 deg, I = 27
- 44.12 deg, I = 27
- 59.90 deg, I = 32
- 67.64 deg, I = 25

```
8
Lattice="8.3850 0.0000 0.0000 0.0000 3.7093 0.0000 -0.4280 0.0000 4.1050" Properties=species:S:1:pos:R:3 pbc="T T T"
Y 1.0717 0.0000 1.0187
Y 2.6929 1.8546 3.0863
Y 5.2642 1.8546 1.0187
Y 6.8854 0.0000 3.0863
C 0.3751 1.8546 2.4827
C 3.3894 0.0000 1.6223
C 4.5676 0.0000 2.4827
C 7.5820 1.8546 1.6223
```

=====

Record 2
Structure and theoretical X-ray diffraction stick pattern of YC4 (a GGA-PBE-relaxed structure; Cu Kα).

Main lines, low angle first (10° ≤ 2θ ≤ 80°):
- 13.67 deg, I = 100
- 27.54 deg, I = 28
- 29.77 deg, I = 77
- 35.29 deg, I = 29
- 38.01 deg, I = 59
- 38.46 deg, I = 28
- 45.34 deg, I = 35
- 50.11 deg, I = 16
- 54.51 deg, I = 19
- 55.86 deg, I = 18

```
10
Lattice="6.7715 0.0000 0.0000 0.0000 2.7440 0.0000 -0.0039 0.0000 6.4777" Properties=species:S:1:pos:R:3 pbc="T T T"
Y 0.0000 0.0000 0.0000
Y 3.3857 1.3720 0.0000
C 1.4454 1.3720 1.5077
C 1.6356 1.3720 2.8534
C 1.7463 0.0000 3.6243
C 1.9364 0.0000 4.9700
C 4.8311 0.0000 1.5077
C 5.0213 0.0000 2.8534
C 5.1320 1.3720 3.6243
C 5.3222 1.3720 4.9700
```

=====

Record 3
Structure and theoretical X-ray diffraction stick pattern of YC2 (a GGA-PBE-relaxed structure; Cu Kα).

Main lines, low angle first (10° ≤ 2θ ≤ 80°):
- 21.32 deg, I = 41
- 28.52 deg, I = 63
- 35.88 deg, I = 100
- 50.52 deg, I = 23
- 52.77 deg, I = 30
- 55.43 deg, I = 19
- 59.04 deg, I = 8
- 63.51 deg, I = 18
- 68.76 deg, I = 11
- 76.06 deg, I = 10

```
6
Lattice="3.6135 0.0000 0.0000 -1.8067 3.1294 0.0000 0.0000 0.0000 8.3363" Properties=species:S:1:pos:R:3 pbc="T T T"
Y 0.0000 0.0000 0.0000
Y 0.0000 0.0000 4.1681
C 0.0000 2.0862 1.4375
C 0.0000 2.0862 2.7306
C 1.8067 1.0431 5.6057
C 1.8067 1.0431 6.8988
```

=====

Record 4
Structure and theoretical X-ray diffraction stick pattern of Y4C (a GGA-PBE-relaxed structure; Cu Kα).

Main lines, low angle first (10° ≤ 2θ ≤ 80°):
- 14.09 deg, I = 16
- 28.39 deg, I = 44
- 28.93 deg, I = 35
- 29.81 deg, I = 88
- 36.14 deg, I = 100
- 40.98 deg, I = 29
- 51.27 deg, I = 32
- 59.60 deg, I = 60
- 60.44 deg, I = 11
- 64.33 deg, I = 18

```
5
Lattice="3.5637 0.0000 0.0000 -1.7818 3.0862 0.0000 0.0000 0.0000 12.5740" Properties=species:S:1:pos:R:3 pbc="T T T"
Y 0.0000 2.0575 1.3999
Y 0.0000 2.0575 4.9365
Y 1.7818 1.0287 7.6375
Y 1.7818 1.0287 11.1740
C 0.0000 0.0000 6.2870
```

=====

Record 5
Structure and theoretical X-ray diffraction stick pattern of Y7C5 (a GGA-PBE-relaxed structure; Cu Kα).

Main lines, low angle first (10° ≤ 2θ ≤ 80°):
- 14.65 deg, I = 20
- 24.83 deg, I = 25
- 28.95 deg, I = 45
- 29.55 deg, I = 49
- 29.70 deg, I = 100
- 32.10 deg, I = 27
- 38.67 deg, I = 18
- 38.97 deg, I = 19
- 41.49 deg, I = 32
- 49.41 deg, I = 16

```
12
Lattice="3.4669 -6.2847 0.0000 3.4669 6.2847 0.0000 -0.0137 0.0000 6.0464" Properties=species:S:1:pos:R:3 pbc="T T T"
Y 0.0000 0.0000 0.0000
Y 1.6890 1.6198 2.7766
Y 3.4578 2.0785 6.0123
Y 1.6890 -1.6198 2.7766
Y 5.2463 1.6225 2.7857
Y 3.4578 -2.0785 6.0123
Y 5.2463 -1.6225 2.7857
C 3.4673 3.1198 2.1120
C 2.1628 0.0000 0.9367
C 3.4696 0.0000 1.4411
C 4.7790 0.0000 0.9421
C 3.4673 -3.1198 2.1120
```